[1]
Diffraction record for HoB3Ru3. The powder X-ray diffraction pattern is theoretical, not measured: it uses the PBE geometry in Alexandria and CuKα.
Neutral-atom scattering factors, no anomalous dispersion.

Principal peaks in the range 2θ = 10–90°, in order of falling intensity:
2θ = 35.78°, I 100.0, (2 2 0); 2θ = 35.18°, I 39.2, (0 2 4); 2θ = 39.63°, I 38.9, (3 -1 4); 2θ = 30.17°, I 23.9, (1 0 4); 2θ = 45.35°, I 16.6, (1 2 5); 2θ = 47.48°, I 14.8, (1 3 4); 2θ = 28.06°, I 13.1, (3 -1 1); 2θ = 37.71°, I 11.9, (3 0 3); 2θ = 27.69°, I 10.8, (2 -1 3); 2θ = 64.28°, I 10.3, (6 0 0)

Structure:
Cell: 10.0395 10.0395 12.6018 Å, 90.00 90.00 120.00°
Space group R3 (No. 146, hexagonal axes)
One atom of each set of equivalent atoms:
Ho: 0.0000 0.0000 0.0000 (multiplicity 3)
Ho: 0.0224 0.5103 0.1137 (multiplicity 9)
B: 0.0179 0.8316 0.6253 (multiplicity 9)
B: 0.0426 0.6772 0.6389 (multiplicity 9)
B: 0.0849 0.1909 0.8506 (multiplicity 9)
B: 0.1273 0.0520 0.1867 (multiplicity 9)
Ru: 0.0000 0.0000 0.3361 (multiplicity 3)
Ru: 0.0000 0.0000 0.5423 (multiplicity 3)
Ru: 0.0000 0.0000 0.7562 (multiplicity 3)
Ru: 0.0462 0.5560 0.8635 (multiplicity 9)
Ru: 0.1394 0.3520 0.9630 (multiplicity 9)
Ru: 0.1491 0.3520 0.7361 (multiplicity 9)

***

[2]
Diffraction record for HoB4Ru. The powder X-ray diffraction pattern is theoretical, not measured: it uses the PBE geometry in Alexandria and CuKα.
Neutral-atom scattering factors, no anomalous dispersion.

Principal peaks in the range 2θ = 10–90°, in order of falling intensity:
2θ = 40.33°, I 100.0, (0 4 1); 2θ = 31.07°, I 83.5, (0 4 0); 2θ = 25.07°, I 75.7, (0 0 1); 2θ = 46.32°, I 27.1, (2 3 1); 2θ = 61.33°, I 24.4, (0 4 2); 2θ = 43.23°, I 23.9, (1 4 1); 2θ = 37.68°, I 20.2, (1 3 1); 2θ = 38.29°, I 19.2, (2 3 0); 2θ = 34.64°, I 17.8, (1 4 0); 2θ = 27.67°, I 17.5, (1 3 0)

Structure:
Cell: 5.950 11.507 3.552 Å, 90.00 90.00 90.00°
Space group Pbam (No. 55)
One atom of each set of equivalent atoms:
Ho: 0.129 0.150 0.000 (multiplicity 4)
B: 0.024 0.692 0.500 (multiplicity 4)
B: 0.112 0.547 0.500 (multiplicity 4)
B: 0.136 0.970 0.500 (multiplicity 4)
B: 0.211 0.814 0.500 (multiplicity 4)
Ru: 0.141 0.407 0.000 (multiplicity 4)

***

[3]
Diffraction record for Ho4BSe2S. The powder X-ray diffraction pattern is theoretical, not measured: it uses the PBE geometry in Alexandria and CuKα.
Neutral-atom scattering factors, no anomalous dispersion.

Principal peaks in the range 2θ = 10–90°, in order of falling intensity:
2θ = 31.99°, I 100.0, (2 0 0); 2θ = 45.86°, I 69.9, (2 2 0); 2θ = 27.61°, I 52.2, (1 1 2); 2θ = 57.00°, I 23.3, (2 2 4); 2θ = 76.11°, I 21.3, (4 2 0); 2θ = 54.40°, I 16.9, (3 1 2); 2θ = 84.92°, I 15.3, (4 2 4); 2θ = 28.73°, I 12.3, (1 0 3); 2θ = 43.53°, I 9.7, (2 1 3); 2θ = 66.93°, I 8.2, (4 0 0)

Structure:
Cell: 5.592 5.592 11.212 Å, 90.00 90.00 90.00°
Space group I-4m2 (No. 119)
One atom of each set of equivalent atoms:
Ho: 0.000 0.000 0.227 (multiplicity 4)
Ho: 0.000 0.500 0.005 (multiplicity 4)
B: 0.000 0.000 0.000 (multiplicity 2)
Se: 0.000 0.000 0.500 (multiplicity 2)
Se: 0.000 0.500 0.750 (multiplicity 2)
S: 0.000 0.500 0.250 (multiplicity 2)

***

[4]
Diffraction record for Ho2SiB3. The powder X-ray diffraction pattern is theoretical, not measured: it uses the PBE geometry in Alexandria and CuKα.
Neutral-atom scattering factors, no anomalous dispersion.

Principal peaks in the range 2θ = 10–90°, in order of falling intensity:
2θ = 37.83°, I 100.0, (0 2 4); 2θ = 30.30°, I 65.3, (2 0 2); 2θ = 22.11°, I 37.7, (0 2 0); 2θ = 55.30°, I 24.6, (2 4 2); 2θ = 53.83°, I 20.4, (4 0 0); 2θ = 58.90°, I 17.6, (4 2 0); 2θ = 72.78°, I 16.5, (4 4 0); 2θ = 67.63°, I 12.1, (4 2 4); 2θ = 78.37°, I 11.8, (0 6 4); 2θ = 45.10°, I 11.5, (0 4 0)

Structure:
Cell: 6.819 8.041 11.786 Å, 90.00 90.00 90.00°
Space group Fmmm (No. 69)
One atom of each set of equivalent atoms:
Ho: 0.000 0.244 0.000 (multiplicity 8)
Ho: 0.250 0.250 0.250 (multiplicity 8)
Si: 0.000 0.000 0.334 (multiplicity 8)
B: 0.000 0.000 0.155 (multiplicity 8)
B: 0.232 0.000 0.077 (multiplicity 16)